Theoretical powder XRD pattern of SmPuBr5 for λ = 1.5418 Å (Cu Kα), from a GGA-PBE-relaxed structure.
Kinematic intensities with the Lorentz-polarization factor, no thermal factor.

Main lines, in order of falling intensity (2θ = 10–90°):
d = 7.439 Å, 2θ = 11.90°, I = 100; d = 2.949 Å, 2θ = 30.31°, I = 30; d = 3.219 Å, 2θ = 27.71°, I = 26; d = 2.923 Å, 2θ = 30.59°, I = 26; d = 2.759 Å, 2θ = 32.45°, I = 23; d = 2.190 Å, 2θ = 41.23°, I = 17; d = 2.056 Å, 2θ = 44.05°, I = 17; d = 2.241 Å, 2θ = 40.24°, I = 16

Cell and atoms:
Cell lengths 8.4838, 4.1115, 13.8061 Å; angles 90.00, 93.87, 90.00 degrees
Space group P2_1/m (No. 11)
Asymmetric unit:
Sm1 0.0810 0.2500 0.1554 x2
Pu1 0.4100 0.7500 0.3576 x2
Br1 0.1346 0.2500 0.7909 x2
Br2 0.1487 0.2500 0.3683 x2
Br3 0.1808 0.7500 0.0178 x2
Br4 0.3515 0.7500 0.5711 x2
Br5 0.4275 0.2500 0.1931 x2